(1)
Simulated powder diffractogram
Compound: CeCd8Pd4
Radiation: copper Kα
Structure: a cell relaxed with GGA-PBE
Lines closer than 0.1° are merged.

Most intense lines, 2θ = 5–70°, in order of rising 2θ:
two_theta	Rel. int.	index
31.97	50	3 0 1
36.60	73	2 0 2
37.14	100	3 2 1
37.32	71	4 0 0
41.27	81	2 2 2
41.76	22	4 1 1
41.92	33	4 2 0
59.66	24	3 2 3
66.84	31	6 0 2
67.20	28	6 3 1

Crystal structure
Cell lengths 9.6370, 9.6370, 5.7065 Å; angles 90.00, 90.00, 90.00 degrees
Space group I4/mmm (No. 139)
Inequivalent atoms, fractional coordinates:
1 Ce 0.0000 0.0000 0.0000 [2 per cell]
2 Cd 0.0000 0.2179 0.5000 [8 per cell]
3 Cd 0.0000 0.3409 0.0000 [8 per cell]
4 Pd 0.2500 0.2500 0.2500 [8 per cell]

(2)
Simulated powder diffractogram
Compound: TaFeSb4
Radiation: copper Kα
Structure: a cell relaxed with GGA-PBE
Lines closer than 0.1° are merged.

Most intense lines, 2θ = 5–70°, in order of rising 2θ:
two_theta	Rel. int.	index
18.20	12	1 1 1
21.04	7	2 0 0
29.93	25	2 2 0
35.25	100	3 1 1
36.87	42	2 2 2
42.83	5	4 0 0
48.19	4	4 2 0
53.13	10	4 2 2
56.63	33	3 3 3
62.18	28	4 4 0

Crystal structure
Cell lengths 8.4449, 8.4449, 8.4449 Å; angles 90.00, 90.00, 90.00 degrees
Space group F-43m (No. 216)
Inequivalent atoms, fractional coordinates:
1 Ta 0.0000 0.0000 0.0000 [4 per cell]
2 Fe 0.2500 0.2500 0.7500 [4 per cell]
3 Sb 0.1252 0.1252 0.3748 [16 per cell]

(3)
Simulated powder diffractogram
Compound: Dy6Bi2SbSe3
Radiation: copper Kα
Structure: a cell relaxed with GGA-PBE
Lines closer than 0.1° are merged.

Most intense lines, 2θ = 5–70°, in order of rising 2θ:
two_theta	Rel. int.	index
24.48	6	4 0 1
29.62	100	6 0 0
32.35	6	5 1 -1
42.39	75	0 2 0
52.54	20	6 2 0
52.63	7	4 0 4
58.79	4	11 1 -1
61.50	12	2 2 -4
69.70	22	1 3 -2
69.78	11	4 2 4

Crystal structure
Cell lengths 18.6085, 4.2646, 8.5251 Å; angles 90.00, 103.36, 90.00 degrees
Space group C2/m (No. 12)
Inequivalent atoms, fractional coordinates:
1 Dy 0.0048 0.0000 0.2459 [4 per cell]
2 Dy 0.1612 0.5000 0.0961 [4 per cell]
3 Dy 0.1687 0.5000 0.5709 [4 per cell]
4 Bi 0.1670 0.0000 0.8348 [4 per cell]
5 Sb 0.0000 0.5000 0.5000 [2 per cell]
6 Se 0.0000 0.5000 0.0000 [2 per cell]
7 Se 0.1674 0.0000 0.3345 [4 per cell]